Theoretical powder diffraction line list
Compound: BiP2AuS
Radiation: Cu Kα (λ = 1.5418 Å)
Structure: a cell relaxed with GGA-PBE
Kinematic intensities with the Lorentz-polarization factor, no thermal factor.

Structural model:
Cell: 11.244 3.382 5.955 Å, 90.00 103.13 90.00°
Fractional coordinates of all 10 atoms:
Bi 0.000 0.000 0.000
Bi 0.500 0.500 0.000
P 0.245 0.500 0.601
P 0.311 0.000 0.418
P 0.745 0.000 0.601
P 0.811 0.500 0.418
Au 0.028 0.500 0.485
Au 0.528 0.000 0.485
S 0.240 0.000 0.066
S 0.740 0.500 0.066

Main lines, in order of falling intensity (10° ≤ 2θ ≤ 80°):
two_theta  d (Å)  I (rel.)
30.79  2.904  100.0
32.66  2.742  64.8
16.19  5.475  64.1
41.76  2.163  21.9
31.46  2.844  21.4
37.16  2.420  18.0
49.05  1.857  17.3
53.59  1.710  15.5
55.23  1.663  10.4
38.28  2.351  10.2
65.66  1.422  9.6
39.82  2.264  9.5

Theoretical powder diffraction line list
Compound: BiP2AuS
Radiation: Cu Kα (λ = 1.5418 Å)
Structure: a cell relaxed with GGA-PBE
Kinematic intensities with the Lorentz-polarization factor, no thermal factor.

Structural model:
Cell: 4.462 3.592 7.430 Å, 90.00 96.50 90.00°
Fractional coordinates of all 5 atoms:
Bi 0.000 0.000 0.000
P 0.297 0.500 0.718
P 0.609 0.000 0.680
Au 0.981 0.500 0.446
S 0.676 0.500 0.161

Main lines, in order of falling intensity (10° ≤ 2θ ≤ 80°):
two_theta  d (Å)  I (rel.)
33.51  2.674  100.0
27.62  3.230  97.6
20.03  4.433  90.9
29.69  3.009  45.3
51.16  1.786  45.2
24.11  3.691  42.2
33.30  2.691  41.5
35.18  2.551  40.1
44.64  2.030  30.8
45.27  2.003  19.4
48.65  1.871  17.7
40.70  2.217  16.1

Theoretical powder diffraction line list
Compound: BiP2AuS
Radiation: Cu Kα (λ = 1.5418 Å)
Structure: a cell relaxed with GGA-PBE
Kinematic intensities with the Lorentz-polarization factor, no thermal factor.

Structural model:
Cell: 11.065 3.380 6.095 Å, 90.00 94.56 90.00°
Fractional coordinates of all 10 atoms:
Bi 0.000 0.000 0.000
Bi 0.500 0.500 0.000
P 0.227 0.000 0.591
P 0.303 0.500 0.408
P 0.727 0.500 0.591
P 0.803 0.000 0.408
Au 0.016 0.000 0.491
Au 0.516 0.500 0.491
S 0.257 0.500 0.069
S 0.757 0.000 0.069

Main lines, in order of falling intensity (10° ≤ 2θ ≤ 80°):
two_theta  d (Å)  I (rel.)
27.60  3.232  100.0
16.07  5.515  91.1
32.48  2.756  68.3
29.40  3.038  49.3
40.27  2.240  40.3
36.10  2.488  37.2
41.26  2.188  29.2
49.33  1.847  23.6
48.52  1.876  20.3
45.88  1.978  19.7
64.69  1.441  19.3
34.83  2.576  17.9

Theoretical powder diffraction line list
Compound: Pa2Bi3Au
Radiation: Cu Kα (λ = 1.5418 Å)
Structure: a cell relaxed with GGA-PBE
Kinematic intensities with the Lorentz-polarization factor, no thermal factor.

Structural model:
Cell: 4.411 4.411 8.705 Å, 90.00 90.00 90.00°
Fractional coordinates of all 6 atoms:
Pa 0.000 0.500 0.232
Pa 0.500 0.000 0.768
Bi 0.000 0.500 0.856
Bi 0.500 0.000 0.144
Bi 0.500 0.500 0.500
Au 0.000 0.000 0.500

Main lines, in order of falling intensity (10° ≤ 2θ ≤ 80°):
two_theta  d (Å)  I (rel.)
35.40  2.535  100.0
30.44  2.936  84.5
40.92  2.206  61.5
37.08  2.424  35.3
30.81  2.902  35.2
52.09  1.756  33.6
70.95  1.328  27.7
68.06  1.378  24.2
56.40  1.631  21.7
59.25  1.560  21.2
28.62  3.119  20.5
56.85  1.619  18.4

Theoretical powder diffraction line list
Compound: PuPaBiAu
Radiation: Cu Kα (λ = 1.5418 Å)
Structure: a cell relaxed with GGA-PBE
Kinematic intensities with the Lorentz-polarization factor, no thermal factor.

Structural model:
Cell: 7.520 7.520 7.520 Å, 90.00 90.00 90.00°
Fractional coordinates of all 16 atoms:
Pu 0.000 0.000 0.000
Pu 0.000 0.500 0.500
Pu 0.500 0.000 0.500
Pu 0.500 0.500 0.000
Pa 0.000 0.000 0.500
Pa 0.000 0.500 0.000
Pa 0.500 0.000 0.000
Pa 0.500 0.500 0.500
Bi 0.250 0.250 0.250
Bi 0.250 0.750 0.750
Bi 0.750 0.250 0.750
Bi 0.750 0.750 0.250
Au 0.250 0.250 0.750
Au 0.250 0.750 0.250
Au 0.750 0.250 0.250
Au 0.750 0.750 0.750

Main lines, in order of falling intensity (10° ≤ 2θ ≤ 80°):
two_theta  d (Å)  I (rel.)
33.71  2.659  100.0
60.29  1.535  39.0
48.42  1.880  18.5
70.89  1.329  12.2

Theoretical powder diffraction line list
Compound: BiPb2Au3
Radiation: Cu Kα (λ = 1.5418 Å)
Structure: a cell relaxed with GGA-PBE
Kinematic intensities with the Lorentz-polarization factor, no thermal factor.

Structural model:
Cell: 7.988 7.988 5.678 Å, 90.00 90.00 60.48°
Fractional coordinates of all 12 atoms:
Bi 0.171 0.829 0.750
Bi 0.829 0.171 0.250
Pb 0.165 0.500 0.250
Pb 0.500 0.165 0.750
Pb 0.500 0.835 0.250
Pb 0.835 0.500 0.750
Au 0.165 0.165 0.000
Au 0.165 0.165 0.500
Au 0.500 0.500 0.000
Au 0.500 0.500 0.500
Au 0.835 0.835 0.000
Au 0.835 0.835 0.500

Main lines, in order of falling intensity (10° ≤ 2θ ≤ 80°):
two_theta  d (Å)  I (rel.)
38.88  2.316  100.0
27.30  3.267  36.8
39.16  2.300  18.4
27.17  3.283  17.8
56.33  1.633  14.9
70.79  1.331  13.9
70.26  1.340  11.6
79.12  1.210  10.0
22.26  3.994  9.0
53.55  1.711  8.8
48.31  1.884  7.7
70.48  1.336  7.0